This entry pairs a crystal structure of Ac2ScWO8 with its computed XRD peak list. Radiation: Cu Ka. Structure: a DFT-relaxed cell (PBE+U, Alexandria).
Intensities are scaled so that the largest is 100.

Structural model:
a = 5.3007 Å, b = 6.9815 Å, c = 5.3010 Å
α = 90.00°, β = 92.14°, γ = 90.00°
Fractional coordinates of all 12 atoms:
Ac 0.0000 0.2503 0.0000
Ac 0.0000 0.7497 0.0000
Sc 0.5000 0.0000 0.5000
W 0.5000 0.5000 0.5000
O 0.2255 0.0000 0.2234
O 0.2393 0.5000 0.2355
O 0.3299 0.2842 0.6676
O 0.3299 0.7158 0.6676
O 0.6701 0.2842 0.3324
O 0.6701 0.7158 0.3324
O 0.7607 0.5000 0.7645
O 0.7745 0.0000 0.7766

Most intense lines, 2θ = 15–90°, by intensity:
2θ = 30.67°, intensity 100; 2θ = 23.30°, intensity 62; 2θ = 24.20°, intensity 51; 2θ = 45.82°, intensity 44; 2θ = 46.82°, intensity 35; 2θ = 33.84°, intensity 31; 2θ = 58.57°, intensity 31; 2θ = 16.74°, intensity 18; 2θ = 78.74°, intensity 14; 2θ = 55.46°, intensity 14